Entry 1:
For Zn3MoN4, DFT lattice parameters and positions (GGA-PBE) gives the theoretical powder XRD pattern in this record (Cu Kα X-rays).
No peak broadening, texture or thermal motion is included.

Largest 10 diffraction maxima, in order of rising 2θ, 2θ = 15–90°:
2theta, d (Å), intensity
31.45, 2.845, 41
33.39, 2.684, 35
35.72, 2.514, 100
46.52, 1.952, 20
55.99, 1.642, 28
61.20, 1.515, 30
66.78, 1.401, 25
68.21, 1.375, 15
75.67, 1.257, 4
87.64, 1.113, 10

Crystal structure
a = 6.571 Å, b = 5.688 Å, c = 5.368 Å
α = 90.00°, β = 90.00°, γ = 90.00°
Sites, in units of the cell vectors:
Zn: 0.000 0.166 0.000
Zn: 0.249 0.332 0.501
Zn: 0.251 0.668 0.001
Zn: 0.500 0.834 0.500
Zn: 0.749 0.668 0.001
Zn: 0.751 0.332 0.501
Mo: 0.000 0.830 0.500
Mo: 0.500 0.170 0.000
N: 0.000 0.142 0.383
N: 0.000 0.829 0.848
N: 0.237 0.673 0.384
N: 0.263 0.327 0.884
N: 0.500 0.171 0.348
N: 0.500 0.858 0.883
N: 0.737 0.327 0.884
N: 0.763 0.673 0.384



Entry 2:
For ZnMoN2, DFT lattice parameters and positions (GGA-PBE) gives the theoretical powder XRD pattern in this record (Cu Kα X-rays).
No peak broadening, texture or thermal motion is included.

Largest 10 diffraction maxima, in order of rising 2θ, 2θ = 15–90°:
2theta, d (Å), intensity
15.35, 5.774, 24
30.98, 2.887, 53
35.24, 2.547, 56
36.12, 2.487, 100
42.57, 2.124, 56
47.62, 1.910, 24
53.57, 1.711, 74
63.25, 1.470, 36
72.09, 1.310, 29
87.48, 1.115, 17

Crystal structure
a = 2.941 Å, b = 2.941 Å, c = 11.548 Å
α = 90.00°, β = 90.00°, γ = 120.00°
Sites, in units of the cell vectors:
Zn: 0.333 0.667 0.000
Zn: 0.667 0.333 0.500
Mo: 0.333 0.667 0.770
Mo: 0.667 0.333 0.270
N: 0.333 0.667 0.165
N: 0.333 0.667 0.386
N: 0.667 0.333 0.665
N: 0.667 0.333 0.886



Entry 3:
For Na3Mo, DFT lattice parameters and positions (GGA-PBE) gives the theoretical powder XRD pattern in this record (Cu Kα X-rays).
No peak broadening, texture or thermal motion is included.

Largest 10 diffraction maxima, in order of rising 2θ, 2θ = 15–90°:
2theta, d (Å), intensity
17.60, 5.039, 20
20.51, 4.331, 55
26.28, 3.392, 15
31.80, 2.814, 100
32.54, 2.752, 17
35.63, 2.520, 18
37.50, 2.398, 32
43.11, 2.098, 15
52.69, 1.737, 22
64.11, 1.452, 24

Crystal structure
a = 6.074 Å, b = 6.074 Å, c = 6.074 Å
α = 133.49°, β = 133.49°, γ = 67.89°
Sites, in units of the cell vectors:
Na: 0.000 0.000 0.000
Na: 0.250 0.750 0.500
Na: 0.750 0.250 0.500
Mo: 0.500 0.500 0.000



Entry 4:
For NaTe3Mo3, DFT lattice parameters and positions (GGA-PBE) gives the theoretical powder XRD pattern in this record (Cu Kα X-rays).
No peak broadening, texture or thermal motion is included.

Largest 10 diffraction maxima, in order of rising 2θ, 2θ = 15–90°:
2theta, d (Å), intensity
27.13, 3.287, 61
29.20, 3.058, 62
35.18, 2.551, 87
38.61, 2.332, 34
38.93, 2.313, 49
40.18, 2.244, 26
43.40, 2.085, 37
44.88, 2.020, 100
49.40, 1.845, 28
77.58, 1.231, 25

Crystal structure
a = 9.343 Å, b = 9.343 Å, c = 4.626 Å
α = 90.00°, β = 90.00°, γ = 120.00°
Sites, in units of the cell vectors:
Na: 0.333 0.667 0.250
Na: 0.667 0.333 0.750
Te: 0.084 0.700 0.750
Te: 0.300 0.385 0.750
Te: 0.385 0.084 0.250
Te: 0.615 0.916 0.750
Te: 0.700 0.615 0.250
Te: 0.916 0.300 0.250
Mo: 0.042 0.860 0.250
Mo: 0.140 0.181 0.250
Mo: 0.181 0.042 0.750
Mo: 0.819 0.958 0.250
Mo: 0.860 0.819 0.750
Mo: 0.958 0.140 0.750



Entry 5:
For NaTe3Mo3, DFT lattice parameters and positions (GGA-PBE) gives the theoretical powder XRD pattern in this record (Cu Kα X-rays).
No peak broadening, texture or thermal motion is included.

Largest 10 diffraction maxima, in order of rising 2θ, 2θ = 15–90°:
2theta, d (Å), intensity
26.26, 3.393, 77
27.18, 3.281, 23
30.91, 2.893, 27
33.52, 2.673, 21
35.84, 2.506, 20
39.07, 2.306, 37
40.99, 2.202, 100
42.35, 2.134, 61
49.88, 1.828, 25
72.09, 1.310, 18

Crystal structure
a = 10.023 Å, b = 10.023 Å, c = 4.611 Å
α = 90.00°, β = 90.00°, γ = 120.00°
Sites, in units of the cell vectors:
Na: 0.333 0.667 0.250
Na: 0.667 0.333 0.750
Te: 0.040 0.695 0.250
Te: 0.305 0.345 0.250
Te: 0.345 0.040 0.750
Te: 0.655 0.960 0.250
Te: 0.695 0.655 0.750
Te: 0.960 0.305 0.750
Mo: 0.020 0.857 0.750
Mo: 0.143 0.162 0.750
Mo: 0.162 0.020 0.250
Mo: 0.838 0.980 0.750
Mo: 0.857 0.838 0.250
Mo: 0.980 0.143 0.250



Entry 6:
For NbMo, DFT lattice parameters and positions (GGA-PBE) gives the theoretical powder XRD pattern in this record (Cu Kα X-rays).
No peak broadening, texture or thermal motion is included.

Largest 10 diffraction maxima, in order of rising 2θ, 2θ = 15–90°:
2theta, d (Å), intensity
38.97, 2.311, 26
39.33, 2.291, 100
39.79, 2.266, 24
56.76, 1.622, 8
56.92, 1.618, 16
70.83, 1.330, 17
71.00, 1.328, 8
71.54, 1.319, 8
71.92, 1.313, 16
84.60, 1.145, 11

Crystal structure
a = 2.823 Å, b = 2.823 Å, c = 4.531 Å
α = 90.00°, β = 90.00°, γ = 109.87°
Sites, in units of the cell vectors:
Nb: 0.000 0.000 0.000
Mo: 0.500 0.500 0.500